1.
Starting from a PBE-relaxed structure, the PXRD pattern of PrCo8P5 was simulated for Cu Kα X-rays.
Kinematic intensities with the Lorentz-polarization factor, no thermal factor.

Structure:
a b c (Å): 3.5570 10.4345 9.2548
angles (deg): 90.00 90.00 90.00
Element x y z (fractional)
1 Pr 0.2500 0.2500 0.1778
2 Pr 0.7500 0.7500 0.8222
3 Co 0.2500 0.0039 0.8889
4 Co 0.2500 0.0829 0.4785
5 Co 0.2500 0.2500 0.8500
6 Co 0.2500 0.4171 0.4785
7 Co 0.2500 0.4961 0.8889
8 Co 0.2500 0.6107 0.3036
9 Co 0.2500 0.7500 0.5471
10 Co 0.2500 0.8893 0.3036
11 Co 0.7500 0.1107 0.6964
12 Co 0.7500 0.2500 0.4529
13 Co 0.7500 0.3893 0.6964
14 Co 0.7500 0.5039 0.1111
15 Co 0.7500 0.5829 0.5215
16 Co 0.7500 0.7500 0.1500
17 Co 0.7500 0.9171 0.5215
18 Co 0.7500 0.9961 0.1111
19 P 0.2500 0.2500 0.6147
20 P 0.2500 0.5571 0.6608
21 P 0.2500 0.6299 0.0674
22 P 0.2500 0.8701 0.0674
23 P 0.2500 0.9429 0.6608
24 P 0.7500 0.0571 0.3392
25 P 0.7500 0.1299 0.9326
26 P 0.7500 0.3701 0.9326
27 P 0.7500 0.4429 0.3392
28 P 0.7500 0.7500 0.3853

Largest 10 diffraction maxima, sorted by position, 2θ from 10° to 90°:
- 2θ 31.95, d 2.801, intensity 27
- 2θ 36.18, d 2.483, intensity 94
- 2θ 37.45, d 2.402, intensity 51
- 2θ 39.63, d 2.274, intensity 81
- 2θ 39.91, d 2.259, intensity 36
- 2θ 41.21, d 2.191, intensity 100
- 2θ 45.54, d 1.992, intensity 33
- 2θ 51.38, d 1.778, intensity 62
- 2θ 52.65, d 1.738, intensity 36
- 2θ 59.42, d 1.556, intensity 25

2.
Starting from a PBE-relaxed structure, the PXRD pattern of Pu2Co2P3 was simulated for Cu Kα X-rays.
Kinematic intensities with the Lorentz-polarization factor, no thermal factor.

Structure:
a b c (Å): 7.4491 7.4491 10.6806
angles (deg): 123.63 123.63 29.18
Element x y z (fractional)
1 Pu 0.1141 0.1141 0.4651
2 Pu 0.2306 0.2306 0.8400
3 Pu 0.7694 0.7694 0.1600
4 Pu 0.8859 0.8859 0.5349
5 Co 0.0813 0.0813 0.1538
6 Co 0.4584 0.4584 0.1740
7 Co 0.5416 0.5416 0.8260
8 Co 0.9187 0.9187 0.8462
9 P 0.1021 0.1021 0.9616
10 P 0.3545 0.3545 0.7099
11 P 0.4327 0.4327 0.3615
12 P 0.5673 0.5673 0.6385
13 P 0.6455 0.6455 0.2901
14 P 0.8979 0.8979 0.0384

Largest 10 diffraction maxima, sorted by position, 2θ from 10° to 90°:
- 2θ 24.89, d 3.577, intensity 32
- 2θ 25.19, d 3.536, intensity 56
- 2θ 25.71, d 3.465, intensity 43
- 2θ 30.35, d 2.945, intensity 57
- 2θ 30.62, d 2.920, intensity 44
- 2θ 34.29, d 2.615, intensity 30
- 2θ 35.07, d 2.559, intensity 100
- 2θ 41.51, d 2.175, intensity 32
- 2θ 48.52, d 1.876, intensity 26
- 2θ 51.60, d 1.771, intensity 25

3.
Starting from a PBE-relaxed structure, the PXRD pattern of CoTc2PRh was simulated for Cu Kα X-rays.
Kinematic intensities with the Lorentz-polarization factor, no thermal factor.

Structure:
a b c (Å): 4.3584 4.3584 4.2733
angles (deg): 90.00 90.00 90.00
Element x y z (fractional)
1 Co 0.0000 0.0000 0.0000
2 Tc 0.0000 0.5000 0.5000
3 Tc 0.5000 0.0000 0.5000
4 P 0.5000 0.5000 0.5000
5 Rh 0.5000 0.5000 0.0000

Largest 10 diffraction maxima, sorted by position, 2θ from 10° to 90°:
- 2θ 20.38, d 4.358, intensity 11
- 2θ 20.79, d 4.273, intensity 4
- 2θ 35.93, d 2.500, intensity 100
- 2θ 41.44, d 2.179, intensity 46
- 2θ 42.30, d 2.137, intensity 22
- 2θ 60.04, d 1.541, intensity 15
- 2θ 60.70, d 1.526, intensity 29
- 2θ 71.99, d 1.312, intensity 25
- 2θ 73.20, d 1.293, intensity 12
- 2θ 76.17, d 1.250, intensity 14

4.
Starting from a PBE-relaxed structure, the PXRD pattern of CoP3Ru3 was simulated for Cu Kα X-rays.
Kinematic intensities with the Lorentz-polarization factor, no thermal factor.

Structure:
a b c (Å): 10.1251 3.5333 10.2474
angles (deg): 90.00 90.00 90.00
Element x y z (fractional)
1 Co 0.0435 0.2500 0.1351
2 Co 0.4565 0.7500 0.6351
3 Co 0.5435 0.2500 0.3649
4 Co 0.9565 0.7500 0.8649
5 P 0.0787 0.2500 0.4103
6 P 0.0846 0.2500 0.8941
7 P 0.2322 0.7500 0.6495
8 P 0.2678 0.2500 0.1495
9 P 0.4154 0.7500 0.3941
10 P 0.4213 0.7500 0.9103
11 P 0.5787 0.2500 0.0897
12 P 0.5846 0.2500 0.6059
13 P 0.7322 0.7500 0.8505
14 P 0.7678 0.2500 0.3505
15 P 0.9154 0.7500 0.1059
16 P 0.9213 0.7500 0.5897
17 Ru 0.0598 0.2500 0.6630
18 Ru 0.2067 0.7500 0.2931
19 Ru 0.2109 0.7500 0.0020
20 Ru 0.2891 0.2500 0.5020
21 Ru 0.2933 0.2500 0.7931
22 Ru 0.4402 0.7500 0.1630
23 Ru 0.5598 0.2500 0.8370
24 Ru 0.7067 0.7500 0.2069
25 Ru 0.7109 0.7500 0.4980
26 Ru 0.7891 0.2500 0.9980
27 Ru 0.7933 0.2500 0.7069
28 Ru 0.9402 0.7500 0.3370

Largest 10 diffraction maxima, sorted by position, 2θ from 10° to 90°:
- 2θ 26.69, d 3.340, intensity 35
- 2θ 32.02, d 2.795, intensity 38
- 2θ 36.58, d 2.457, intensity 29
- 2θ 37.69, d 2.387, intensity 64
- 2θ 39.42, d 2.286, intensity 44
- 2θ 44.00, d 2.058, intensity 100
- 2θ 44.59, d 2.032, intensity 32
- 2θ 45.69, d 1.986, intensity 49
- 2θ 47.37, d 1.919, intensity 32
- 2θ 51.74, d 1.767, intensity 41